Structure and simulated powder XRD pattern of SrIrF6 (a PBE-relaxed structure; Cu Kα).
Kinematic intensities with the Lorentz-polarization factor, no thermal factor.

Atomic structure:
Cell lengths 4.8609, 4.8609, 4.9047 Å; angles 98.49, 98.49, 97.23 degrees
Positions (direct):
Sr  0.0000  0.0000  0.0000
Ir  0.5000  0.5000  0.5000
F  0.2071  0.2071  0.5573
F  0.2085  0.5709  0.2066
F  0.4291  0.7915  0.7934
F  0.5709  0.2085  0.2066
F  0.7915  0.4291  0.7934
F  0.7929  0.7929  0.4427

Principal peaks in the range 2θ = 15–90°, in order of rising 2θ:
2θ 18.67, I 34; 2θ 24.06, I 100; 2θ 24.41, I 48; 2θ 28.50, I 30; 2θ 28.64, I 58; 2θ 45.08, I 34; 2θ 45.37, I 35; 2θ 45.66, I 29

***

Structure and simulated powder XRD pattern of Sr2IrF8 (a PBE-relaxed structure; Cu Kα).
Kinematic intensities with the Lorentz-polarization factor, no thermal factor.

Atomic structure:
Cell lengths 7.0112, 7.0112, 4.7246 Å; angles 90.00, 90.00, 120.00 degrees
Positions (direct):
Sr  0.3333  0.6667  0.2506
Sr  0.6667  0.3333  0.7494
Ir  0.0000  0.0000  0.5000
F  0.1347  0.2694  0.2695
F  0.1347  0.8653  0.2695
F  0.2694  0.1347  0.7305
F  0.3333  0.6667  0.7515
F  0.6667  0.3333  0.2485
F  0.7306  0.8653  0.2695
F  0.8653  0.1347  0.7305
F  0.8653  0.7306  0.7305

Principal peaks in the range 2θ = 15–90°, in order of rising 2θ:
2θ 23.86, I 92; 2θ 25.41, I 100; 2θ 31.79, I 27; 2θ 35.14, I 21; 2θ 41.00, I 25; 2θ 43.86, I 41; 2θ 48.85, I 27; 2θ 55.85, I 32